Entry 1:
YB4W3: computed powder X-ray diffraction pattern (Cu Kα, 1.54184 Å), based on the GGA-PBE geometry in the Materials Project.
Neutral-atom scattering factors, no anomalous dispersion.

Structural model:
```
YB4W3
1.0
3.129 0.000 0.000
0.000 3.230 0.000
0.000 0.000 9.452
Y B W
1 4 3
direct
0.000 0.000 0.000 Y
0.000 0.000 0.312 B
0.000 0.500 0.768 B
0.500 0.000 0.424 B
0.500 0.500 0.855 B
0.000 0.500 0.502 W
0.500 0.000 0.689 W
0.500 0.500 0.248 W
```

Top 10 peaks for 2θ from 10° to 80°, most intense first:
| 2θ (°) | d [Å] | I/Imax |
| --- | --- | --- |
| 34.38 | 2.609 | 1000 |
| 41.29 | 2.186 | 900 |
| 29.22 | 3.057 | 618 |
| 39.97 | 2.255 | 554 |
| 68.30 | 1.373 | 279 |
| 38.08 | 2.363 | 269 |
| 64.40 | 1.447 | 205 |
| 73.70 | 1.285 | 183 |
| 49.84 | 1.830 | 171 |
| 57.02 | 1.615 | 154 |


Entry 2:
YMg: computed powder X-ray diffraction pattern (Cu Kα, 1.54184 Å), based on the GGA-PBE geometry in the Materials Project.
Neutral-atom scattering factors, no anomalous dispersion.

Structural model:
```
YMg
1.0
5.562 0.000 0.000
0.000 1.724 8.866
0.000 -1.724 8.866
Y Mg
3 3
direct
0.000 0.000 0.000 Y
0.000 0.332 0.332 Y
0.500 0.555 0.555 Y
0.000 0.666 0.666 Mg
0.500 0.223 0.223 Mg
0.500 0.888 0.888 Mg
```

Top 10 peaks for 2θ from 10° to 80°, most intense first:
| 2θ (°) | d [Å] | I/Imax |
| --- | --- | --- |
| 34.15 | 2.626 | 1000 |
| 34.36 | 2.610 | 497 |
| 32.19 | 2.781 | 389 |
| 30.00 | 2.978 | 263 |
| 18.84 | 4.711 | 235 |
| 30.93 | 2.891 | 214 |
| 63.89 | 1.457 | 202 |
| 58.66 | 1.574 | 200 |
| 20.03 | 4.433 | 185 |
| 53.57 | 1.711 | 176 |


Entry 3:
P2Se5: computed powder X-ray diffraction pattern (Cu Kα, 1.54184 Å), based on the GGA-PBE geometry in the Materials Project.
Neutral-atom scattering factors, no anomalous dispersion.

Structural model:
```
P2Se5
1.0
7.200 0.000 0.000
0.000 22.239 0.000
-2.567 0.000 5.628
P Se
8 20
direct
0.218 0.052 0.306 P
0.218 0.448 0.806 P
0.222 0.164 0.678 P
0.222 0.336 0.178 P
0.778 0.664 0.822 P
0.778 0.836 0.322 P
0.782 0.552 0.194 P
0.782 0.948 0.694 P
0.057 0.686 0.159 Se
0.057 0.814 0.659 Se
0.065 0.604 0.423 Se
0.065 0.896 0.923 Se
0.223 0.061 0.675 Se
0.223 0.439 0.175 Se
0.498 0.104 0.341 Se
0.498 0.186 0.606 Se
0.498 0.314 0.106 Se
0.498 0.396 0.841 Se
0.502 0.604 0.159 Se
0.502 0.686 0.894 Se
0.502 0.814 0.394 Se
0.502 0.896 0.659 Se
0.777 0.561 0.825 Se
0.777 0.939 0.325 Se
0.935 0.104 0.077 Se
0.935 0.396 0.577 Se
0.943 0.186 0.341 Se
0.943 0.314 0.841 Se
```

Top 10 peaks for 2θ from 10° to 80°, most intense first:
| 2θ (°) | d [Å] | I/Imax |
| --- | --- | --- |
| 31.34 | 2.854 | 1000 |
| 15.94 | 5.560 | 795 |
| 26.42 | 3.374 | 700 |
| 25.09 | 3.549 | 571 |
| 29.59 | 3.019 | 566 |
| 17.84 | 4.972 | 542 |
| 49.94 | 1.826 | 520 |
| 27.93 | 3.195 | 405 |
| 40.72 | 2.216 | 367 |
| 49.54 | 1.840 | 355 |